Th2NpSi2Ir7: theoretical X-ray diffraction stick pattern (Cu Kα (weighted mean of Kα1 and Kα2)), based on a crystal structure in Alexandria, relaxed with GGA-PBE.
Neutral-atom scattering factors, no anomalous dispersion.

Atomic structure:
a = 4.029 Å, b = 4.029 Å, c = 13.716 Å
α = 95.12°, β = 95.12°, γ = 89.73°
Atoms (fractional coordinates):
Th  0.101  0.101  0.351
Th  0.899  0.899  0.649
Np  0.000  0.000  0.000
Si  0.424  0.424  0.751
Si  0.576  0.576  0.249
Ir  0.046  0.545  0.151
Ir  0.385  0.385  0.579
Ir  0.455  0.954  0.849
Ir  0.500  0.500  0.000
Ir  0.545  0.046  0.151
Ir  0.615  0.615  0.421
Ir  0.954  0.455  0.849

Principal peaks in the range 2θ from 5° to 70°, in order of rising 2θ:
| 2theta | I_rel |
| --- | --- |
| 6.5 | 79.7 |
| 26.2 | 22.3 |
| 31.0 | 20.2 |
| 32.2 | 24.4 |
| 34.2 | 25.0 |
| 35.2 | 55.9 |
| 35.8 | 67.8 |
| 37.3 | 100.0 |
| 44.1 | 26.4 |
| 45.1 | 62.9 |
| 45.2 | 40.2 |
| 65.7 | 19.2 |

LaNbCr: theoretical X-ray diffraction stick pattern (Cu Kα (weighted mean of Kα1 and Kα2)), based on a crystal structure in Alexandria, relaxed with GGA-PBE.
Neutral-atom scattering factors, no anomalous dispersion.

Atomic structure:
a = 3.312 Å, b = 3.312 Å, c = 11.760 Å
α = 90.00°, β = 90.00°, γ = 90.00°
Atoms (fractional coordinates):
La  0.000  0.000  0.000
La  0.500  0.500  0.500
Nb  0.000  0.000  0.711
Nb  0.500  0.500  0.211
Cr  0.000  0.000  0.306
Cr  0.500  0.500  0.806

Principal peaks in the range 2θ from 5° to 70°, in order of rising 2θ:
| 2theta | I_rel |
| --- | --- |
| 28.0 | 31.7 |
| 30.4 | 24.3 |
| 35.5 | 100.0 |
| 38.4 | 51.8 |
| 46.3 | 4.8 |
| 49.8 | 24.2 |
| 55.5 | 17.3 |
| 61.7 | 8.0 |
| 61.9 | 21.4 |
| 63.3 | 7.3 |
| 64.6 | 10.9 |
| 67.6 | 28.9 |

TbIn9Ir2: theoretical X-ray diffraction stick pattern (Cu Kα (weighted mean of Kα1 and Kα2)), based on a crystal structure in Alexandria, relaxed with GGA-PBE.
Neutral-atom scattering factors, no anomalous dispersion.

Atomic structure:
a = 9.475 Å, b = 9.475 Å, c = 9.475 Å
α = 98.33°, β = 98.33°, γ = 135.26°
Atoms (fractional coordinates):
Tb  0.375  0.625  0.750
Tb  0.625  0.375  0.250
In  0.098  0.548  0.311
In  0.098  0.787  0.551
In  0.125  0.875  0.250
In  0.213  0.264  0.311
In  0.213  0.902  0.949
In  0.264  0.213  0.811
In  0.264  0.452  0.051
In  0.452  0.264  0.551
In  0.452  0.902  0.189
In  0.548  0.098  0.811
In  0.548  0.736  0.449
In  0.736  0.548  0.949
In  0.736  0.787  0.189
In  0.787  0.098  0.051
In  0.787  0.736  0.689
In  0.875  0.125  0.750
In  0.902  0.213  0.449
In  0.902  0.452  0.689
Ir  0.000  0.000  0.000
Ir  0.000  0.000  0.500
Ir  0.000  0.500  0.000
Ir  0.500  0.000  0.500

Principal peaks in the range 2θ from 5° to 70°, in order of rising 2θ:
| 2theta | I_rel |
| --- | --- |
| 14.2 | 23.3 |
| 28.8 | 40.2 |
| 32.3 | 41.3 |
| 33.8 | 100.0 |
| 38.1 | 25.6 |
| 38.4 | 80.9 |
| 40.9 | 19.3 |
| 41.1 | 50.6 |
| 41.2 | 21.0 |
| 46.3 | 14.8 |
| 58.6 | 17.2 |
| 67.6 | 17.3 |

Li2Mg2Tl: theoretical X-ray diffraction stick pattern (Cu Kα (weighted mean of Kα1 and Kα2)), based on a crystal structure in Alexandria, relaxed with GGA-PBE.
Neutral-atom scattering factors, no anomalous dispersion.

Atomic structure:
a = 13.212 Å, b = 13.212 Å, c = 13.212 Å
α = 165.60°, β = 157.95°, γ = 26.44°
Atoms (fractional coordinates):
Li  0.262  0.012  0.250
Li  0.363  0.113  0.250
Li  0.637  0.887  0.750
Li  0.738  0.988  0.750
Mg  0.057  0.807  0.250
Mg  0.453  0.703  0.750
Mg  0.547  0.297  0.250
Mg  0.943  0.193  0.750
Tl  0.166  0.416  0.750
Tl  0.834  0.584  0.250

Principal peaks in the range 2θ from 5° to 70°, in order of rising 2θ:
| 2theta | I_rel |
| --- | --- |
| 6.9 | 49.3 |
| 13.8 | 23.3 |
| 17.9 | 31.6 |
| 20.4 | 100.0 |
| 20.7 | 38.7 |
| 27.1 | 33.7 |
| 32.1 | 25.2 |
| 33.1 | 33.9 |
| 35.3 | 66.1 |
| 35.5 | 22.0 |
| 36.1 | 26.1 |
| 36.5 | 20.2 |

Ce7InAu4: theoretical X-ray diffraction stick pattern (Cu Kα (weighted mean of Kα1 and Kα2)), based on a crystal structure in Alexandria, relaxed with GGA-PBE.
Neutral-atom scattering factors, no anomalous dispersion.

Atomic structure:
a = 7.766 Å, b = 7.766 Å, c = 9.024 Å
α = 120.75°, β = 120.75°, γ = 44.11°
Atoms (fractional coordinates):
Ce  0.000  0.000  0.000
Ce  0.232  0.232  0.707
Ce  0.290  0.290  0.072
Ce  0.450  0.450  0.595
Ce  0.550  0.550  0.405
Ce  0.710  0.710  0.928
Ce  0.768  0.768  0.293
In  0.500  0.500  0.000
Au  0.028  0.028  0.696
Au  0.204  0.204  0.353
Au  0.796  0.796  0.647
Au  0.972  0.972  0.304

Principal peaks in the range 2θ from 5° to 70°, in order of rising 2θ:
| 2theta | I_rel |
| --- | --- |
| 29.8 | 37.4 |
| 30.7 | 85.6 |
| 31.4 | 37.9 |
| 32.5 | 14.6 |
| 33.6 | 14.7 |
| 34.3 | 21.7 |
| 35.8 | 100.0 |
| 38.0 | 17.9 |
| 43.3 | 28.3 |
| 44.5 | 31.3 |
| 47.8 | 23.4 |
| 57.9 | 18.5 |

InGa3Pb3: theoretical X-ray diffraction stick pattern (Cu Kα (weighted mean of Kα1 and Kα2)), based on a crystal structure in Alexandria, relaxed with GGA-PBE.
Neutral-atom scattering factors, no anomalous dispersion.

Atomic structure:
a = 7.884 Å, b = 7.884 Å, c = 7.884 Å
α = 90.00°, β = 90.00°, γ = 90.00°
Atoms (fractional coordinates):
In  0.000  0.000  0.000
In  0.500  0.500  0.500
Ga  0.000  0.250  0.500
Ga  0.000  0.750  0.500
Ga  0.250  0.500  0.000
Ga  0.500  0.000  0.250
Ga  0.500  0.000  0.750
Ga  0.750  0.500  0.000
Pb  0.000  0.500  0.250
Pb  0.000  0.500  0.750
Pb  0.250  0.000  0.500
Pb  0.500  0.250  0.000
Pb  0.500  0.750  0.000
Pb  0.750  0.000  0.500

Principal peaks in the range 2θ from 5° to 70°, in order of rising 2θ:
| 2theta | I_rel |
| --- | --- |
| 15.9 | 29.5 |
| 22.6 | 41.4 |
| 25.3 | 53.7 |
| 27.7 | 100.0 |
| 39.6 | 43.1 |
| 41.3 | 15.6 |
| 42.9 | 62.1 |
| 46.1 | 36.9 |
| 51.9 | 17.8 |
| 53.2 | 15.4 |
| 64.8 | 18.2 |
| 67.2 | 24.0 |

PmY3Tm8: theoretical X-ray diffraction stick pattern (Cu Kα (weighted mean of Kα1 and Kα2)), based on a crystal structure in Alexandria, relaxed with GGA-PBE.
Neutral-atom scattering factors, no anomalous dispersion.

Atomic structure:
a = 8.370 Å, b = 8.370 Å, c = 6.232 Å
α = 111.84°, β = 111.84°, γ = 83.66°
Atoms (fractional coordinates):
Pm  0.000  0.000  0.000
Y  0.251  0.750  0.663
Y  0.500  0.500  0.999
Y  0.750  0.251  0.663
Tm  0.083  0.582  0.998
Tm  0.169  0.169  0.664
Tm  0.332  0.332  0.327
Tm  0.419  0.917  0.333
Tm  0.582  0.083  0.998
Tm  0.668  0.668  0.663
Tm  0.832  0.832  0.327
Tm  0.917  0.419  0.333

Principal peaks in the range 2θ from 5° to 70°, in order of rising 2θ:
| 2theta | I_rel |
| --- | --- |
| 16.4 | 4.1 |
| 22.9 | 3.0 |
| 28.6 | 24.0 |
| 32.1 | 23.8 |
| 32.9 | 100.0 |
| 43.5 | 15.5 |
| 50.7 | 19.7 |
| 57.7 | 20.1 |
| 59.3 | 3.1 |
| 61.3 | 22.3 |
| 61.8 | 16.3 |
| 69.0 | 3.9 |

Ac4Si2BrCl: theoretical X-ray diffraction stick pattern (Cu Kα (weighted mean of Kα1 and Kα2)), based on a crystal structure in Alexandria, relaxed with GGA-PBE.
Neutral-atom scattering factors, no anomalous dispersion.

Atomic structure:
a = 7.744 Å, b = 7.742 Å, c = 6.384 Å
α = 65.67°, β = 65.64°, γ = 48.69°
Atoms (fractional coordinates):
Ac  0.000  0.000  0.500
Ac  0.246  0.246  0.754
Ac  0.500  0.500  0.000
Ac  0.754  0.754  0.246
Si  0.250  0.250  0.250
Si  0.750  0.750  0.750
Br  0.500  0.500  0.500
Cl  0.000  0.000  0.000

Principal peaks in the range 2θ from 5° to 70°, in order of rising 2θ:
| 2theta | I_rel |
| --- | --- |
| 24.3 | 100.0 |
| 28.0 | 81.8 |
| 28.4 | 39.2 |
| 39.9 | 31.7 |
| 40.3 | 61.9 |
| 47.3 | 36.3 |
| 47.8 | 17.4 |
| 49.7 | 33.9 |
| 64.0 | 15.1 |
| 65.4 | 15.1 |
| 65.6 | 14.9 |
| 66.2 | 14.4 |